Starting from a DFT-relaxed cell (PBE, the Materials Project), the XRD peak list of Tm5Ge10Rh4 was simulated for Cu Kα, 1.54184 Å.
Lines closer than 0.1° are merged.

Atomic structure:
```
Tm5Ge10Rh4
1.0
13.0116 0.0000 0.0000
0.0000 13.0116 0.0000
0.0000 0.0000 4.2682
Tm Ge Rh
10 20 8
Direct
0.0000 0.0000 0.0000
0.1133 0.3867 0.5000
0.1739 0.6739 0.5000
0.3261 0.1739 0.5000
0.3867 0.8867 0.5000
0.5000 0.5000 0.0000
0.6133 0.1133 0.5000
0.6739 0.8261 0.5000
0.8261 0.3261 0.5000
0.8867 0.6133 0.5000
0.0042 0.8436 0.5000
0.0668 0.5668 0.0000
0.1564 0.0042 0.5000
0.1627 0.2000 0.0000
0.2000 0.8373 0.0000
0.3000 0.3373 0.0000
0.3373 0.7000 0.0000
0.3436 0.5042 0.5000
0.4332 0.0668 0.0000
0.4958 0.3436 0.5000
0.5042 0.6564 0.5000
0.5668 0.9332 0.0000
0.6564 0.4958 0.5000
0.6627 0.3000 0.0000
0.7000 0.6627 0.0000
0.8000 0.1627 0.0000
0.8373 0.8000 0.0000
0.8436 0.9958 0.5000
0.9332 0.4332 0.0000
0.9958 0.1564 0.5000
0.0206 0.7539 0.0000
0.2461 0.0206 0.0000
0.2539 0.5206 0.0000
0.4794 0.2539 0.0000
0.5206 0.7461 0.0000
0.7461 0.4794 0.0000
0.7539 0.9794 0.0000
0.9794 0.2461 0.0000
```

Main lines, low angle first (2θ = 5–70°):
2θ/deg, d_spacing, I (rel.)
32.49, 2.756, 475
34.67, 2.587, 749
35.17, 2.552, 329
35.37, 2.538, 427
36.06, 2.491, 1000
37.41, 2.404, 212
42.25, 2.139, 211
42.35, 2.134, 546
44.59, 2.032, 194
55.76, 1.649, 186
56.19, 1.637, 170
68.09, 1.377, 171



Starting from a DFT-relaxed cell (PBE, the Materials Project), the XRD peak list of K2Na4Ca5Si12O34 was simulated for Cu Kα, 1.54184 Å.
Lines closer than 0.1° are merged.

Atomic structure:
```
K2Na4Ca5Si12O34
1.0
9.7306 -3.8157 0.0000
9.7306 3.8157 0.0000
-4.5362 0.0000 12.0299
K Na Ca Si O
2 4 5 12 34
Direct
0.0000 0.0000 0.0000
0.6707 0.6707 0.0106
0.3300 0.3300 0.4488
0.3953 0.3953 0.9798
0.5873 0.5873 0.5119
0.8449 0.8449 0.5013
0.0933 0.0933 0.5064
0.2383 0.7975 0.6711
0.4318 0.9220 0.3411
0.7975 0.2383 0.6711
0.9220 0.4318 0.3411
0.0204 0.6178 0.2487
0.0626 0.6539 0.7682
0.1471 0.1471 0.8772
0.1755 0.7832 0.2456
0.2128 0.2128 0.1373
0.4312 0.4312 0.6863
0.4882 0.9012 0.7499
0.5404 0.5404 0.2062
0.6178 0.0204 0.2487
0.6539 0.0626 0.7682
0.7832 0.1755 0.2456
0.9012 0.4882 0.7499
0.0092 0.3680 0.8567
0.0274 0.5148 0.7331
0.0290 0.5734 0.3604
0.0617 0.0617 0.7994
0.0864 0.4407 0.1461
0.1534 0.1534 0.0080
0.1573 0.6510 0.2655
0.1573 0.6563 0.8922
0.1696 0.1696 0.2237
0.2008 0.2008 0.4534
0.2011 0.5684 0.6757
0.2491 0.8593 0.3548
0.3152 0.6679 0.1473
0.3680 0.0092 0.8567
0.3791 0.8709 0.6381
0.4407 0.0864 0.1461
0.4592 0.4592 0.5800
0.5110 0.5110 0.7869
0.5148 0.0274 0.7331
0.5347 0.5347 0.3321
0.5684 0.2011 0.6757
0.5734 0.0290 0.3604
0.6233 0.6233 0.2076
0.6510 0.1573 0.2655
0.6563 0.1573 0.8922
0.6679 0.3152 0.1473
0.6971 0.6971 0.7915
0.7132 0.7132 0.4587
0.8024 0.8024 0.1978
0.8593 0.2491 0.3548
0.8638 0.8638 0.7270
0.8709 0.3791 0.6381
0.9661 0.9661 0.1885
0.9871 0.9871 0.5550
```

Main lines, low angle first (2θ = 5–70°):
2θ/deg, d_spacing, I (rel.)
7.35, 12.030, 209
14.73, 6.015, 1000
18.06, 4.911, 223
18.24, 4.863, 467
20.37, 4.360, 373
20.82, 4.267, 209
25.34, 3.514, 262
27.69, 3.222, 856
29.43, 3.035, 210
32.39, 2.764, 213
36.49, 2.463, 249
47.67, 1.908, 284



Starting from a DFT-relaxed cell (PBE, the Materials Project), the XRD peak list of Cr5S8 was simulated for Cu Kα, 1.54184 Å.
Lines closer than 0.1° are merged.

Atomic structure:
```
Cr5S8
1.0
5.8059 -3.4031 0.0000
5.8059 3.4031 0.0000
-0.2751 0.0000 11.0793
Cr S
10 16
Direct
0.0000 0.0000 0.0000
0.0138 0.0138 0.7304
0.0194 0.0194 0.4789
0.0366 0.4953 0.4846
0.4953 0.0366 0.4846
0.5001 0.5001 0.4965
0.5121 0.5121 0.2344
0.5262 0.5262 0.9712
0.5304 0.9952 0.9851
0.9952 0.5304 0.9851
0.1731 0.1731 0.8748
0.1726 0.6882 0.8625
0.1806 0.1806 0.3589
0.1839 0.6741 0.3605
0.3421 0.3421 0.6171
0.3446 0.8522 0.6079
0.3517 0.3517 0.0955
0.3530 0.8389 0.1086
0.6741 0.1839 0.3605
0.6741 0.6741 0.3750
0.6862 0.6862 0.8541
0.6882 0.1726 0.8625
0.8389 0.3530 0.1086
0.8392 0.8392 0.1163
0.8504 0.8504 0.5959
0.8522 0.3446 0.6079
```

Main lines, low angle first (2θ = 5–70°):
2θ/deg, d_spacing, I (rel.)
16.00, 5.540, 742
17.18, 5.161, 194
30.45, 2.936, 178
34.53, 2.597, 477
34.76, 2.581, 1000
44.68, 2.028, 668
45.29, 2.002, 513
45.85, 1.979, 215
53.88, 1.702, 230
54.56, 1.682, 435
58.74, 1.572, 176
65.59, 1.423, 114



Starting from a DFT-relaxed cell (PBE, the Materials Project), the XRD peak list of EuAl3Pd2 was simulated for Cu Kα, 1.54184 Å.
Lines closer than 0.1° are merged.

Atomic structure:
```
EuAl3Pd2
1.0
9.6685 0.0000 0.0000
-4.8343 8.3732 0.0000
0.0000 0.0000 4.3404
Eu Al Pd
3 9 6
Direct
0.0000 0.0000 0.0000
0.3333 0.6667 0.5000
0.6667 0.3333 0.5000
0.0000 0.3024 0.5000
0.0000 0.5000 0.0000
0.0000 0.6976 0.5000
0.3024 0.0000 0.5000
0.3024 0.3024 0.5000
0.5000 0.0000 0.0000
0.5000 0.5000 0.0000
0.6976 0.0000 0.5000
0.6976 0.6976 0.5000
0.1840 0.3680 0.0000
0.1840 0.8160 0.0000
0.3680 0.1840 0.0000
0.6320 0.8160 0.0000
0.8160 0.1840 0.0000
0.8160 0.6320 0.0000
```

Main lines, low angle first (2θ = 5–70°):
2θ/deg, d_spacing, I (rel.)
20.46, 4.340, 190
21.22, 4.187, 204
23.08, 3.853, 387
27.62, 3.230, 269
28.20, 3.165, 137
35.09, 2.557, 1000
37.20, 2.417, 740
38.34, 2.348, 406
41.61, 2.170, 309
42.82, 2.112, 292
57.03, 1.615, 422
59.13, 1.562, 244



Starting from a DFT-relaxed cell (PBE, the Materials Project), the XRD peak list of Be4B25 was simulated for Cu Kα, 1.54184 Å.
Lines closer than 0.1° are merged.

Atomic structure:
```
Be4B25
1.0
5.1388 0.0000 0.0000
0.0000 9.2052 0.0000
-5.1049 0.0000 8.9317
Be B
8 50
Direct
0.0953 0.1898 0.1389
0.0953 0.8102 0.6389
0.2473 0.3488 0.3089
0.2473 0.6512 0.8089
0.7527 0.3488 0.1911
0.7527 0.6512 0.6911
0.9047 0.1898 0.3611
0.9047 0.8102 0.8611
0.0000 0.0474 0.2500
0.0000 0.9526 0.7500
0.0080 0.3925 0.3911
0.0080 0.6075 0.8911
0.0174 0.4188 0.6676
0.0174 0.5812 0.1676
0.1485 0.0083 0.4829
0.1485 0.9917 0.9829
0.1598 0.3338 0.0091
0.1598 0.6662 0.5091
0.1732 0.1139 0.8351
0.1732 0.8861 0.3351
0.2420 0.3386 0.5823
0.2420 0.6614 0.0823
0.3092 0.1527 0.3581
0.3092 0.8473 0.8581
0.3302 0.4837 0.1667
0.3301 0.5000 0.4964
0.3301 0.5000 0.9964
0.3302 0.5163 0.6667
0.3306 0.1660 0.0195
0.3306 0.8340 0.5195
0.4235 0.1690 0.5718
0.4235 0.8310 0.0718
0.4925 0.0015 0.8322
0.4925 0.9985 0.3322
0.5075 0.0015 0.6678
0.5075 0.9985 0.1678
0.5765 0.1690 0.9282
0.5765 0.8310 0.4282
0.6694 0.1660 0.4805
0.6694 0.8340 0.9805
0.6698 0.4837 0.3333
0.6699 0.5000 0.0036
0.6699 0.5000 0.5036
0.6698 0.5163 0.8333
0.6908 0.1527 0.1419
0.6908 0.8473 0.6419
0.7580 0.3386 0.9177
0.7580 0.6614 0.4177
0.8268 0.1139 0.6649
0.8268 0.8861 0.1649
0.8402 0.3338 0.4909
0.8402 0.6662 0.9909
0.8515 0.0083 0.0171
0.8515 0.9917 0.5171
0.9826 0.4188 0.8324
0.9826 0.5812 0.3324
0.9920 0.3925 0.1089
0.9920 0.6075 0.6089
```

Main lines, low angle first (2θ = 5–70°):
2θ/deg, d_spacing, I (rel.)
13.81, 6.410, 488
19.28, 4.603, 822
19.88, 4.466, 561
22.18, 4.008, 1000
34.91, 2.570, 292
35.53, 2.527, 687
36.27, 2.477, 404
37.72, 2.385, 247
40.19, 2.244, 245
44.31, 2.044, 236
46.00, 1.973, 328
62.98, 1.476, 385



Starting from a DFT-relaxed cell (PBE, the Materials Project), the XRD peak list of Tb5In4Ni2 was simulated for Cu Kα, 1.54184 Å.
Lines closer than 0.1° are merged.

Atomic structure:
```
Tb5In4Ni2
1.0
8.0906 0.0000 0.0000
0.0000 18.1033 0.0000
0.0000 0.0000 3.5973
Tb In Ni
10 8 4
Direct
0.0000 0.0000 0.0000
0.1180 0.4124 0.0000
0.2462 0.2219 0.0000
0.2538 0.7219 0.0000
0.3820 0.9124 0.0000
0.5000 0.5000 0.0000
0.6180 0.0876 0.0000
0.7462 0.2781 0.0000
0.7538 0.7781 0.0000
0.8820 0.5876 0.0000
0.0709 0.8478 0.5000
0.2057 0.5700 0.5000
0.2943 0.0700 0.5000
0.4291 0.3478 0.5000
0.5709 0.6522 0.5000
0.7057 0.9300 0.5000
0.7943 0.4300 0.5000
0.9291 0.1522 0.5000
0.0238 0.3041 0.5000
0.4762 0.8041 0.5000
0.5238 0.1959 0.5000
0.9762 0.6959 0.5000
```

Main lines, low angle first (2θ = 5–70°):
2θ/deg, d_spacing, I (rel.)
31.65, 2.827, 208
33.60, 2.667, 188
33.70, 2.659, 1000
34.71, 2.585, 393
34.81, 2.577, 861
36.48, 2.463, 357
36.60, 2.456, 329
36.94, 2.434, 277
37.17, 2.419, 271
50.75, 1.799, 297
58.18, 1.586, 209
59.16, 1.562, 175



Starting from a DFT-relaxed cell (PBE, the Materials Project), the XRD peak list of TbSI was simulated for Cu Kα, 1.54184 Å.
Lines closer than 0.1° are merged.

Atomic structure:
```
TbSI
1.0
4.5550 0.0000 0.0000
-2.2775 3.9448 0.0000
0.0000 0.0000 5.1160
Tb S I
1 1 1
Direct
0.0000 0.0000 0.0000
0.3333 0.6667 0.0000
0.6667 0.3333 0.5000
```

Main lines, low angle first (2θ = 5–70°):
2θ/deg, d_spacing, I (rel.)
17.33, 5.116, 41
22.54, 3.945, 179
28.57, 3.124, 1000
35.08, 2.558, 160
39.57, 2.278, 342
42.10, 2.146, 74
46.02, 1.972, 29
49.53, 1.840, 217
53.90, 1.701, 275
59.01, 1.565, 128
59.15, 1.562, 28
65.17, 1.431, 190



Q: What is the formula in the fourth record?
A: EuAl3Pd2